1.
For PrEr2Tl2Cd4, DFT lattice parameters and positions (GGA-PBE) gives the calculated X-ray powder pattern in this record (λ = 1.5418 Å (Cu Kα)).
Neutral-atom scattering factors, no anomalous dispersion.

Structural model:
```
data_PrEr2Tl2Cd4
_cell_length_a 4.622
_cell_length_b 13.262
_cell_length_c 7.497
_cell_angle_alpha 90.00
_cell_angle_beta 90.00
_cell_angle_gamma 90.00
_space_group_name_H-M_alt 'A m m 2'
_space_group_IT_number 38
_space_group_name_Hall 'A 2 -2'
loop_
_atom_site_label
_atom_site_fract_x
_atom_site_fract_y
_atom_site_fract_z
Pr1 0.000 0.000 0.000
Er1 0.000 0.213 0.637
Tl1 0.500 0.171 0.924
Cd1 0.000 0.000 0.437
Cd2 0.500 0.000 0.668
Cd3 0.500 0.119 0.308
```

The 10 most intense peaks (10° ≤ 2θ ≤ 80°), in order of rising 2θ:
30.4 deg, d = 2.939 Å, I 727
30.7 deg, d = 2.911 Å, I 426
33.3 deg, d = 2.694 Å, I 440
33.6 deg, d = 2.666 Å, I 1000
35.9 deg, d = 2.500 Å, I 225
36.2 deg, d = 2.483 Å, I 191
39.0 deg, d = 2.311 Å, I 474
41.0 deg, d = 2.199 Å, I 179
41.5 deg, d = 2.175 Å, I 218
54.2 deg, d = 1.692 Å, I 180



2.
For CsNa2Lu2BP2O11, DFT lattice parameters and positions (GGA-PBE) gives the calculated X-ray powder pattern in this record (λ = 1.5418 Å (Cu Kα)).
Neutral-atom scattering factors, no anomalous dispersion.

Structural model:
```
data_CsNa2Lu2BP2O11
_cell_length_a 6.837
_cell_length_b 14.497
_cell_length_c 10.507
_cell_angle_alpha 90.00
_cell_angle_beta 90.00
_cell_angle_gamma 90.00
_space_group_name_H-M_alt 'C m c m'
_space_group_IT_number 63
_space_group_name_Hall '-C 2c 2'
loop_
_atom_site_label
_atom_site_fract_x
_atom_site_fract_y
_atom_site_fract_z
Cs1 0.000 0.019 0.250
Na1 0.245 0.256 0.250
Lu1 0.000 0.381 0.033
B1 0.000 0.485 0.250
P1 0.000 0.183 0.524
O1 0.000 0.224 0.111
O2 0.000 0.269 0.613
O3 0.000 0.389 0.250
O4 0.000 0.473 0.632
O5 0.183 0.123 0.551
```

The 10 most intense peaks (10° ≤ 2θ ≤ 80°), in order of rising 2θ:
14.3 deg, d = 6.184 Å, I 286
16.9 deg, d = 5.253 Å, I 319
22.2 deg, d = 4.004 Å, I 1000
22.5 deg, d = 3.946 Å, I 264
26.1 deg, d = 3.419 Å, I 671
28.3 deg, d = 3.153 Å, I 222
30.0 deg, d = 2.983 Å, I 770
33.6 deg, d = 2.668 Å, I 551
40.1 deg, d = 2.248 Å, I 340
43.7 deg, d = 2.069 Å, I 244



3.
For Rb2ZrAg2Te2S2, DFT lattice parameters and positions (GGA-PBE) gives the calculated X-ray powder pattern in this record (λ = 1.5418 Å (Cu Kα)).
Neutral-atom scattering factors, no anomalous dispersion.

Structural model:
```
data_Rb2ZrAg2Te2S2
_cell_length_a 6.365
_cell_length_b 6.375
_cell_length_c 7.913
_cell_angle_alpha 90.00
_cell_angle_beta 113.18
_cell_angle_gamma 90.00
_space_group_name_H-M_alt 'P 1 2 1'
_space_group_IT_number 3
_space_group_name_Hall 'P 2y'
loop_
_atom_site_label
_atom_site_fract_x
_atom_site_fract_y
_atom_site_fract_z
Rb1 0.000 0.000 0.000
Rb2 0.500 0.488 0.000
Zr1 0.500 0.754 0.500
Ag1 0.000 0.773 0.500
Ag2 0.500 0.243 0.500
Te1 0.138 0.501 0.276
S1 0.379 0.970 0.697
```

The 10 most intense peaks (10° ≤ 2θ ≤ 80°), in order of rising 2θ:
12.2 deg, d = 7.274 Å, I 605
13.9 deg, d = 6.375 Å, I 346
15.2 deg, d = 5.811 Å, I 420
26.9 deg, d = 3.311 Å, I 876
27.1 deg, d = 3.289 Å, I 1000
30.6 deg, d = 2.922 Å, I 883
37.5 deg, d = 2.397 Å, I 318
40.0 deg, d = 2.252 Å, I 967
47.1 deg, d = 1.930 Å, I 387
48.9 deg, d = 1.864 Å, I 365